Starting from a cell relaxed with GGA-PBE, the powder diffractogram of AcNpBO6 was computed for Cu Ka.
Neutral-atom scattering factors, no anomalous dispersion.

The 10 most intense peaks (15° ≤ 2θ ≤ 90°), low angle first:
2θ 19.6, I 46, hkl 1 0 0; 2θ 20.5, I 20, hkl 1 0 1; 2θ 24.7, I 100, hkl 0 1 -1; 2θ 24.8, I 40, hkl 1 1 0; 2θ 25.6, I 45, hkl 1 1 1; 2θ 28.8, I 21, hkl 1 -1 0; 2θ 29.4, I 30, hkl 1 -1 1; 2θ 30.1, I 36, hkl 1 0 -1; 2θ 32.0, I 32, hkl 1 0 2; 2θ 36.9, I 25, hkl 0 2 0

Cell and atoms:
abc: 4.936 4.940 5.771
angles: 86.84 68.40 81.00
Atoms (fractional coordinates):
Ac (0.000, 0.000, 0.000)
Np (0.266, 0.534, 0.394)
B (0.623, 0.599, 0.801)
O (0.022, 0.875, 0.449)
O (0.094, 0.443, 0.147)
O (0.429, 0.660, 0.674)
O (0.517, 0.199, 0.344)
O (0.553, 0.758, 0.015)
O (0.870, 0.401, 0.729)